Structure and theoretical XRD peak list of PrZn3NiPt (the GGA-PBE geometry in Alexandria; λ = 1.5418 Å (Cu Kα)).

Peak list (6 most intense, 10° ≤ 2θ ≤ 90°, in order of rising 2θ)
index	Position (°2θ)	I/Imax
2 0 0	28.80	33
2 2 0	32.12	35
0 2 2	35.62	31
1 5 1	41.74	100
2 0 2	44.07	58
3 5 1	60.07	27

Structure:
a = 6.200 Å, b = 12.735 Å, c = 5.490 Å
α = 90.00°, β = 90.00°, γ = 90.00°
Space group Cmcm (No. 63)
Asymmetric unit:
Pr (0.000, 0.234, 0.250) [4 per cell]
Zn (0.000, 0.363, 0.750) [4 per cell]
Zn (0.202, 0.000, 0.000) [8 per cell]
Ni (0.000, 0.444, 0.250) [4 per cell]
Pt (0.000, 0.157, 0.750) [4 per cell]

Structure and theoretical XRD peak list of Pr4NiRh3 (the GGA-PBE geometry in Alexandria; λ = 1.5418 Å (Cu Kα)).

Peak list (6 most intense, 10° ≤ 2θ ≤ 90°, in order of rising 2θ)
index	Position (°2θ)	I/Imax
1 1 1	31.84	100
0 0 4	32.21	31
1 0 3	32.87	31
0 1 4	38.85	22
1 1 3	39.42	61
0 2 0	43.05	25

Structure:
a = 4.019 Å, b = 4.203 Å, c = 11.116 Å
α = 90.00°, β = 90.00°, γ = 90.00°
Space group Pmm2 (No. 25)
Asymmetric unit:
Pr (0.000, 0.000, 0.000) [1 per cell]
Pr (0.000, 0.500, 0.280) [1 per cell]
Pr (0.500, 0.000, 0.500) [1 per cell]
Pr (0.500, 0.500, 0.780) [1 per cell]
Ni (0.000, 0.000, 0.714) [1 per cell]
Rh (0.000, 0.500, 0.568) [1 per cell]
Rh (0.500, 0.000, 0.227) [1 per cell]
Rh (0.500, 0.500, 0.050) [1 per cell]